Record 1
ZrH6NOF5: simulated X-ray diffraction stick pattern (Cu Kα), based on a crystal structure in Alexandria, relaxed with PBE.
Kinematic intensities with the Lorentz-polarization factor, no thermal factor.

Crystal structure
Cell lengths 6.824, 7.579, 11.846 Å; angles 90.00, 114.43, 90.00 degrees
Fractional coordinates of all 56 atoms:
1 Zr 0.218 0.056 0.453
2 Zr 0.218 0.444 0.953
3 Zr 0.782 0.556 0.047
4 Zr 0.782 0.944 0.547
5 H 0.008 0.660 0.304
6 H 0.008 0.840 0.804
7 H 0.023 0.048 0.801
8 H 0.023 0.452 0.301
9 H 0.308 0.650 0.602
10 H 0.308 0.850 0.102
11 H 0.387 0.064 0.134
12 H 0.387 0.436 0.634
13 H 0.442 0.096 0.877
14 H 0.442 0.404 0.377
15 H 0.494 0.597 0.744
16 H 0.494 0.903 0.244
17 H 0.506 0.097 0.756
18 H 0.506 0.403 0.256
19 H 0.558 0.596 0.623
20 H 0.558 0.904 0.123
21 H 0.613 0.564 0.366
22 H 0.613 0.936 0.866
23 H 0.692 0.150 0.898
24 H 0.692 0.350 0.398
25 H 0.977 0.548 0.699
26 H 0.977 0.952 0.199
27 H 0.992 0.160 0.196
28 H 0.992 0.340 0.696
29 N 0.435 0.567 0.650
30 N 0.435 0.933 0.150
31 N 0.565 0.067 0.850
32 N 0.565 0.433 0.350
33 O 0.070 0.054 0.243
34 O 0.070 0.446 0.743
35 O 0.930 0.554 0.257
36 O 0.930 0.946 0.757
37 F 0.110 0.599 0.085
38 F 0.110 0.901 0.585
39 F 0.181 0.702 0.895
40 F 0.181 0.798 0.395
41 F 0.203 0.180 0.892
42 F 0.203 0.320 0.392
43 F 0.326 0.208 0.613
44 F 0.326 0.292 0.113
45 F 0.493 0.079 0.410
46 F 0.493 0.421 0.910
47 F 0.507 0.579 0.090
48 F 0.507 0.921 0.590
49 F 0.674 0.708 0.887
50 F 0.674 0.792 0.387
51 F 0.797 0.680 0.608
52 F 0.797 0.820 0.108
53 F 0.819 0.202 0.605
54 F 0.819 0.298 0.105
55 F 0.890 0.099 0.415
56 F 0.890 0.401 0.915

Main lines, sorted by position (2θ = 10–90°):
Position (°2θ)	I/Imax
14.28	100
16.44	23
16.73	7
18.47	9
26.54	22
27.46	10
28.76	8
28.93	10
39.38	9
41.64	11

Record 2
SiH6N2F4: simulated X-ray diffraction stick pattern (Cu Kα), based on a crystal structure in Alexandria, relaxed with PBE.
Kinematic intensities with the Lorentz-polarization factor, no thermal factor.

Crystal structure
Cell lengths 5.102, 7.046, 7.103 Å; angles 90.00, 93.67, 90.00 degrees
Fractional coordinates of all 26 atoms:
1 Si 0.000 0.000 0.000
2 Si 0.000 0.500 0.500
3 H 0.182 0.070 0.322
4 H 0.182 0.430 0.822
5 H 0.216 0.662 0.781
6 H 0.216 0.838 0.281
7 H 0.420 0.506 0.692
8 H 0.420 0.994 0.192
9 H 0.580 0.006 0.808
10 H 0.580 0.494 0.308
11 H 0.784 0.162 0.719
12 H 0.784 0.338 0.219
13 H 0.818 0.570 0.178
14 H 0.818 0.930 0.678
15 N 0.228 0.529 0.722
16 N 0.228 0.971 0.222
17 N 0.772 0.029 0.778
18 N 0.772 0.471 0.278
19 F 0.111 0.227 0.981
20 F 0.111 0.273 0.481
21 F 0.245 0.580 0.364
22 F 0.245 0.920 0.864
23 F 0.755 0.080 0.136
24 F 0.755 0.420 0.636
25 F 0.889 0.727 0.519
26 F 0.889 0.773 0.019

Main lines, sorted by position (2θ = 10–90°):
Position (°2θ)	I/Imax
17.42	55
17.75	100
24.39	18
25.28	10
25.53	7
31.67	25
32.43	8
42.38	15
44.37	6
45.18	18

Record 3
SiH7N2F5: simulated X-ray diffraction stick pattern (Cu Kα), based on a crystal structure in Alexandria, relaxed with PBE.
Kinematic intensities with the Lorentz-polarization factor, no thermal factor.

Crystal structure
Cell lengths 6.345, 7.047, 8.906 Å; angles 90.00, 134.56, 90.00 degrees
Fractional coordinates of all 30 atoms:
1 Si 0.000 0.226 0.000
2 Si 0.000 0.774 0.500
3 H 0.244 0.089 0.626
4 H 0.244 0.911 0.126
5 H 0.319 0.411 0.390
6 H 0.319 0.589 0.890
7 H 0.463 0.414 0.071
8 H 0.463 0.586 0.571
9 H 0.535 0.417 0.922
10 H 0.535 0.583 0.422
11 H 0.683 0.414 0.608
12 H 0.683 0.586 0.108
13 H 0.929 0.107 0.376
14 H 0.929 0.893 0.876
15 H 0.931 0.102 0.563
16 H 0.931 0.898 0.063
17 N 0.026 0.046 0.516
18 N 0.026 0.954 0.016
19 N 0.500 0.499 0.497
20 N 0.500 0.501 0.997
21 F 0.057 0.225 0.220
22 F 0.057 0.775 0.720
23 F 0.376 0.235 0.159
24 F 0.376 0.765 0.659
25 F 0.624 0.209 0.842
26 F 0.624 0.791 0.342
27 F 0.940 0.218 0.779
28 F 0.940 0.782 0.279
29 F 0.979 0.466 0.988
30 F 0.979 0.534 0.488

Main lines, sorted by position (2θ = 10–90°):
Position (°2θ)	I/Imax
18.82	100
19.64	23
19.94	22
25.28	11
38.17	20
39.88	11
40.52	11
40.97	11
53.30	9
54.05	15

Record 4
SiH8N2F6: simulated X-ray diffraction stick pattern (Cu Kα), based on a crystal structure in Alexandria, relaxed with PBE.
Kinematic intensities with the Lorentz-polarization factor, no thermal factor.

Crystal structure
Cell lengths 5.908, 5.908, 9.371 Å; angles 90.00, 90.00, 120.00 degrees
Fractional coordinates of all 34 atoms:
1 Si 0.333 0.667 0.000
2 Si 0.667 0.333 0.500
3 H 0.000 0.000 0.451
4 H 0.000 0.000 0.951
5 H 0.095 0.190 0.306
6 H 0.095 0.905 0.306
7 H 0.144 0.572 0.660
8 H 0.190 0.095 0.806
9 H 0.333 0.667 0.514
10 H 0.428 0.572 0.660
11 H 0.428 0.856 0.660
12 H 0.572 0.144 0.160
13 H 0.572 0.428 0.160
14 H 0.667 0.333 0.014
15 H 0.810 0.905 0.306
16 H 0.856 0.428 0.160
17 H 0.905 0.095 0.806
18 H 0.905 0.810 0.806
19 N 0.000 0.000 0.342
20 N 0.000 0.000 0.842
21 N 0.333 0.667 0.623
22 N 0.667 0.333 0.123
23 F 0.058 0.529 0.895
24 F 0.195 0.391 0.107
25 F 0.195 0.805 0.107
26 F 0.391 0.195 0.607
27 F 0.471 0.529 0.895
28 F 0.471 0.942 0.895
29 F 0.529 0.058 0.395
30 F 0.529 0.471 0.395
31 F 0.609 0.805 0.107
32 F 0.805 0.195 0.607
33 F 0.805 0.609 0.607
34 F 0.942 0.471 0.395

Main lines, sorted by position (2θ = 10–90°):
Position (°2θ)	I/Imax
17.33	27
18.94	23
19.77	100
25.78	21
36.40	18
38.42	13
40.16	64
45.85	22
61.31	10
62.92	12

Record 5
SiH12N4F4: simulated X-ray diffraction stick pattern (Cu Kα), based on a crystal structure in Alexandria, relaxed with PBE.
Kinematic intensities with the Lorentz-polarization factor, no thermal factor.

Crystal structure
Cell lengths 5.387, 5.387, 13.258 Å; angles 90.00, 90.00, 98.04 degrees
Fractional coordinates of all 42 atoms:
1 Si 0.000 0.000 0.000
2 Si 0.500 0.500 0.500
3 H 0.068 0.163 0.323
4 H 0.122 0.644 0.427
5 H 0.144 0.622 0.927
6 H 0.154 0.846 0.837
7 H 0.163 0.068 0.677
8 H 0.220 0.780 0.664
9 H 0.280 0.720 0.164
10 H 0.337 0.432 0.177
11 H 0.346 0.654 0.337
12 H 0.356 0.878 0.427
13 H 0.378 0.856 0.927
14 H 0.432 0.337 0.823
15 H 0.568 0.663 0.177
16 H 0.622 0.144 0.073
17 H 0.644 0.122 0.573
18 H 0.654 0.346 0.663
19 H 0.663 0.568 0.823
20 H 0.720 0.280 0.836
21 H 0.780 0.220 0.336
22 H 0.837 0.932 0.323
23 H 0.846 0.154 0.163
24 H 0.856 0.378 0.073
25 H 0.878 0.356 0.573
26 H 0.932 0.837 0.677
27 N 0.111 0.889 0.702
28 N 0.188 0.812 0.915
29 N 0.312 0.688 0.415
30 N 0.389 0.611 0.202
31 N 0.611 0.389 0.798
32 N 0.688 0.312 0.585
33 N 0.812 0.188 0.085
34 N 0.889 0.111 0.298
35 F 0.085 0.259 0.925
36 F 0.241 0.415 0.575
37 F 0.259 0.085 0.075
38 F 0.415 0.241 0.425
39 F 0.585 0.759 0.575
40 F 0.741 0.915 0.925
41 F 0.759 0.585 0.425
42 F 0.915 0.741 0.075

Main lines, sorted by position (2θ = 10–90°):
Position (°2θ)	I/Imax
13.36	56
17.92	100
21.85	8
25.21	8
26.19	32
29.86	18
34.30	17
38.05	11
48.73	8
53.85	10

Record 6
SnH4NF3: simulated X-ray diffraction stick pattern (Cu Kα), based on a crystal structure in Alexandria, relaxed with PBE.
Kinematic intensities with the Lorentz-polarization factor, no thermal factor.

Crystal structure
Cell lengths 5.961, 5.452, 8.649 Å; angles 90.00, 129.88, 90.00 degrees
Fractional coordinates of all 18 atoms:
1 Sn 0.000 0.047 0.000
2 Sn 0.000 0.953 0.500
3 H 0.346 0.406 0.875
4 H 0.346 0.594 0.375
5 H 0.379 0.440 0.561
6 H 0.379 0.560 0.061
7 H 0.559 0.348 0.478
8 H 0.559 0.652 0.978
9 H 0.662 0.384 0.114
10 H 0.662 0.616 0.614
11 N 0.489 0.500 0.011
12 N 0.489 0.500 0.511
13 F 0.186 0.294 0.639
14 F 0.186 0.706 0.139
15 F 0.596 0.132 0.356
16 F 0.596 0.868 0.856
17 F 0.947 0.153 0.227
18 F 0.947 0.847 0.727

Main lines, sorted by position (2θ = 10–90°):
Position (°2θ)	I/Imax
16.26	100
19.40	63
20.66	59
25.42	96
26.40	80
26.87	29
31.56	24
34.33	25
42.91	41
47.78	31

Record 7
SnHN2F: simulated X-ray diffraction stick pattern (Cu Kα), based on a crystal structure in Alexandria, relaxed with PBE.
Kinematic intensities with the Lorentz-polarization factor, no thermal factor.

Crystal structure
Cell lengths 3.346, 3.346, 4.006 Å; angles 90.00, 90.00, 90.00 degrees
Fractional coordinates of all 5 atoms:
1 Sn 0.000 0.000 0.000
2 H 0.500 0.500 0.500
3 N 0.000 0.500 0.500
4 N 0.500 0.000 0.500
5 F 0.500 0.500 0.000

Main lines, sorted by position (2θ = 10–90°):
Position (°2θ)	I/Imax
22.19	68
26.64	71
34.94	77
38.03	39
44.47	100
45.27	24
53.30	24
54.87	27
59.91	22
66.72	27

Record 8
SnH3NF3: simulated X-ray diffraction stick pattern (Cu Kα), based on a crystal structure in Alexandria, relaxed with PBE.
Kinematic intensities with the Lorentz-polarization factor, no thermal factor.

Crystal structure
Cell lengths 8.354, 8.354, 5.956 Å; angles 100.74, 100.74, 100.45 degrees
Fractional coordinates of all 32 atoms:
1 Sn 0.094 0.296 0.020
2 Sn 0.296 0.094 0.520
3 Sn 0.704 0.906 0.480
4 Sn 0.906 0.704 0.980
5 H 0.155 0.629 0.630
6 H 0.290 0.492 0.634
7 H 0.330 0.664 0.507
8 H 0.336 0.670 0.993
9 H 0.371 0.845 0.870
10 H 0.492 0.290 0.134
11 H 0.508 0.710 0.866
12 H 0.629 0.155 0.130
13 H 0.664 0.330 0.007
14 H 0.670 0.336 0.493
15 H 0.710 0.508 0.366
16 H 0.845 0.371 0.370
17 N 0.282 0.617 0.638
18 N 0.383 0.718 0.862
19 N 0.617 0.282 0.138
20 N 0.718 0.383 0.362
21 F 0.013 0.333 0.344
22 F 0.172 0.559 0.084
23 F 0.314 0.329 0.753
24 F 0.329 0.314 0.253
25 F 0.333 0.013 0.844
26 F 0.441 0.828 0.416
27 F 0.559 0.172 0.584
28 F 0.667 0.987 0.156
29 F 0.671 0.686 0.747
30 F 0.686 0.671 0.247
31 F 0.828 0.441 0.916
32 F 0.987 0.667 0.656

Main lines, sorted by position (2θ = 10–90°):
Position (°2θ)	I/Imax
16.92	49
17.34	100
21.10	78
24.10	64
25.97	54
27.07	34
27.79	28
28.92	64
35.38	28
44.15	28

Record 9
TiH8N2F6: simulated X-ray diffraction stick pattern (Cu Kα), based on a crystal structure in Alexandria, relaxed with PBE.
Kinematic intensities with the Lorentz-polarization factor, no thermal factor.

Crystal structure
Cell lengths 6.041, 6.041, 4.731 Å; angles 90.00, 90.00, 120.00 degrees
Fractional coordinates of all 17 atoms:
1 Ti 0.000 0.000 0.000
2 H 0.241 0.482 0.393
3 H 0.241 0.759 0.393
4 H 0.333 0.667 0.101
5 H 0.482 0.241 0.607
6 H 0.518 0.759 0.393
7 H 0.667 0.333 0.899
8 H 0.759 0.241 0.607
9 H 0.759 0.518 0.607
10 N 0.333 0.667 0.318
11 N 0.667 0.333 0.682
12 F 0.149 0.299 0.773
13 F 0.149 0.851 0.773
14 F 0.299 0.149 0.227
15 F 0.701 0.851 0.773
16 F 0.851 0.149 0.227
17 F 0.851 0.701 0.227

Main lines, sorted by position (2θ = 10–90°):
Position (°2θ)	I/Imax
16.95	100
18.76	14
25.38	66
29.58	13
39.36	85
48.91	11
50.00	15
52.13	24
61.08	12
61.39	18